1.
Starting from the PBE geometry in Alexandria, the powder diffraction line list of La2HgI2 was calculated for Cu Kα (weighted mean of Kα1 and Kα2).
No peak broadening, texture or thermal motion is included.

Largest 10 diffraction maxima, sorted by position, 2θ = 15–90°:
26.39 deg, I = 100.0
30.63 deg, I = 31.5
34.12 deg, I = 26.0
40.05 deg, I = 31.4
40.96 deg, I = 38.2
49.38 deg, I = 18.1
58.62 deg, I = 10.3
62.49 deg, I = 21.6
66.03 deg, I = 15.1
73.98 deg, I = 10.4

Cell and atoms:
Cell: 4.4073 4.4073 36.2394 Å, 90.00 90.00 120.00°
Sites, in units of the cell vectors:
La: 0.0000 0.0000 0.1118
La: 0.0000 0.0000 0.8882
La: 0.3333 0.6667 0.5548
La: 0.3333 0.6667 0.7785
La: 0.6667 0.3333 0.2215
La: 0.6667 0.3333 0.4452
Hg: 0.0000 0.0000 0.5000
Hg: 0.3333 0.6667 0.1667
Hg: 0.6667 0.3333 0.8333
I: 0.0000 0.0000 0.2790
I: 0.0000 0.0000 0.7210
I: 0.3333 0.6667 0.3876
I: 0.3333 0.6667 0.9457
I: 0.6667 0.3333 0.0543
I: 0.6667 0.3333 0.6124


2.
Starting from the PBE geometry in Alexandria, the powder diffraction line list of La6HgPd2I3 was calculated for Cu Kα (weighted mean of Kα1 and Kα2).
No peak broadening, texture or thermal motion is included.

Largest 10 diffraction maxima, sorted by position, 2θ = 15–90°:
27.76 deg, I = 100.0
35.24 deg, I = 5.6
38.13 deg, I = 11.8
38.26 deg, I = 23.6
40.97 deg, I = 24.0
41.22 deg, I = 11.6
50.06 deg, I = 6.3
50.39 deg, I = 12.2
57.40 deg, I = 6.6
67.12 deg, I = 7.6

Cell and atoms:
Cell: 7.6012 7.6012 8.3846 Å, 98.75 98.75 119.61°
Sites, in units of the cell vectors:
La: 0.0758 0.4293 0.7882
La: 0.2132 0.2132 0.2033
La: 0.4293 0.0758 0.7882
La: 0.5707 0.9242 0.2118
La: 0.7868 0.7868 0.7967
La: 0.9242 0.5707 0.2118
Hg: 0.5000 0.5000 0.0000
Pd: 0.1688 0.8312 0.0000
Pd: 0.8312 0.1688 0.0000
I: 0.0000 0.0000 0.5000
I: 0.3421 0.6579 0.5000
I: 0.6579 0.3421 0.5000


3.
Starting from the PBE geometry in Alexandria, the powder diffraction line list of LiHg2I5 was calculated for Cu Kα (weighted mean of Kα1 and Kα2).
No peak broadening, texture or thermal motion is included.

Largest 10 diffraction maxima, sorted by position, 2θ = 15–90°:
15.06 deg, I = 51.8
18.46 deg, I = 20.4
22.83 deg, I = 100.0
23.13 deg, I = 26.9
23.49 deg, I = 22.1
26.71 deg, I = 25.0
28.19 deg, I = 32.4
30.55 deg, I = 24.4
37.00 deg, I = 20.6
40.82 deg, I = 23.4

Cell and atoms:
Cell: 7.4672 7.5890 8.2365 Å, 64.25 75.88 62.80°
Sites, in units of the cell vectors:
Li: 0.0000 0.0000 0.0000
Hg: 0.6483 0.6781 0.9624
Hg: 0.9498 0.4970 0.4251
I: 0.0103 0.3411 0.0606
I: 0.2374 0.6508 0.3260
I: 0.3358 0.8850 0.7501
I: 0.6377 0.9187 0.1715
I: 0.7581 0.2548 0.6635


4.
Starting from the PBE geometry in Alexandria, the powder diffraction line list of LiHg2I2 was calculated for Cu Kα (weighted mean of Kα1 and Kα2).
No peak broadening, texture or thermal motion is included.

Largest 10 diffraction maxima, sorted by position, 2θ = 15–90°:
17.24 deg, I = 65.5
20.14 deg, I = 44.2
28.19 deg, I = 100.0
33.24 deg, I = 27.5
33.62 deg, I = 47.4
34.89 deg, I = 44.5
40.29 deg, I = 38.7
44.43 deg, I = 44.4
45.89 deg, I = 32.5
62.69 deg, I = 25.7

Cell and atoms:
Cell: 6.3309 6.3309 8.8173 Å, 90.00 90.00 90.00°
Sites, in units of the cell vectors:
Li: 0.0000 0.0000 0.0000
Li: 0.5000 0.5000 0.5000
Hg: 0.0000 0.0000 0.3416
Hg: 0.0000 0.0000 0.6584
Hg: 0.5000 0.5000 0.1584
Hg: 0.5000 0.5000 0.8416
I: 0.0000 0.5000 0.2500
I: 0.0000 0.5000 0.7500
I: 0.5000 0.0000 0.2500
I: 0.5000 0.0000 0.7500


5.
Starting from the PBE geometry in Alexandria, the powder diffraction line list of LiHg2I4 was calculated for Cu Kα (weighted mean of Kα1 and Kα2).
No peak broadening, texture or thermal motion is included.

Largest 10 diffraction maxima, sorted by position, 2θ = 15–90°:
15.86 deg, I = 13.7
17.41 deg, I = 37.6
23.63 deg, I = 100.0
29.50 deg, I = 32.6
35.23 deg, I = 36.1
36.69 deg, I = 14.8
40.88 deg, I = 44.7
42.86 deg, I = 41.4
50.68 deg, I = 12.8
67.05 deg, I = 22.8

Cell and atoms:
Cell: 7.2054 7.2054 5.5873 Å, 90.00 90.00 90.00°
Sites, in units of the cell vectors:
Li: 0.0000 0.0000 0.0000
Hg: 0.0000 0.5000 0.5000
Hg: 0.5000 0.0000 0.5000
I: 0.2470 0.2470 0.2219
I: 0.2470 0.7530 0.7781
I: 0.7530 0.2470 0.7781
I: 0.7530 0.7530 0.2219


6.
Starting from the PBE geometry in Alexandria, the powder diffraction line list of LiHgIO4 was calculated for Cu Kα (weighted mean of Kα1 and Kα2).
No peak broadening, texture or thermal motion is included.

Largest 10 diffraction maxima, sorted by position, 2θ = 15–90°:
16.12 deg, I = 11.5
20.70 deg, I = 69.0
24.86 deg, I = 48.5
30.53 deg, I = 100.0
32.56 deg, I = 31.2
42.92 deg, I = 39.9
47.46 deg, I = 35.4
56.84 deg, I = 19.6
57.44 deg, I = 11.5
63.55 deg, I = 10.9

Cell and atoms:
Cell: 6.5737 6.5737 6.5737 Å, 116.50 113.96 98.49°
Sites, in units of the cell vectors:
Li: 0.0000 0.0000 0.0000
Li: 0.5000 0.0000 0.5000
Hg: 0.5000 0.0000 0.0000
Hg: 0.5000 0.5000 0.5000
I: 0.0458 0.2958 0.7500
I: 0.9542 0.7042 0.2500
O: 0.1829 0.2266 0.5438
O: 0.1829 0.6391 0.9562
O: 0.2602 0.2253 0.0349
O: 0.3097 0.7747 0.5349
O: 0.6903 0.2253 0.4651
O: 0.7398 0.7747 0.9651
O: 0.8171 0.3609 0.0438
O: 0.8171 0.7734 0.4562